No. 1
# Ac8Ni3Rh2
Calculated X-ray diffraction stick pattern, a wavelength of 1.5418 Å. Input: a crystal structure in Alexandria, relaxed with GGA-PBE.

Atomic structure:
a = 8.181 Å, b = 8.181 Å, c = 7.288 Å
α = 90.51°, β = 90.51°, γ = 63.99°
Atoms (fractional coordinates):
Ac (0.113, 0.629, 0.333)
Ac (0.117, 0.117, 0.174)
Ac (0.371, 0.887, 0.667)
Ac (0.380, 0.380, 0.839)
Ac (0.620, 0.620, 0.161)
Ac (0.629, 0.113, 0.333)
Ac (0.883, 0.883, 0.826)
Ac (0.887, 0.371, 0.667)
Ni (0.000, 0.000, 0.500)
Ni (0.254, 0.746, 0.000)
Ni (0.746, 0.254, 0.000)
Rh (0.259, 0.259, 0.503)
Rh (0.741, 0.741, 0.497)

Top 10 peaks for 10 to 90 degrees two-theta, by intensity:
2θ = 27.1°, I 1000
2θ = 27.2°, I 912
2θ = 42.7°, I 586
2θ = 35.5°, I 555
2θ = 27.8°, I 468
2θ = 27.5°, I 438
2θ = 25.7°, I 422
2θ = 46.3°, I 314
2θ = 41.7°, I 311
2θ = 35.3°, I 309

No. 2
# Ce2Hg17
Calculated X-ray diffraction stick pattern, a wavelength of 1.5418 Å. Input: a crystal structure in Alexandria, relaxed with GGA-PBE.

Atomic structure:
a = 8.569 Å, b = 8.569 Å, c = 8.569 Å
α = 67.34°, β = 67.34°, γ = 67.34°
Atoms (fractional coordinates):
Ce (0.218, 0.218, 0.218)
Ce (0.782, 0.782, 0.782)
Hg (0.000, 0.500, 0.500)
Hg (0.081, 0.081, 0.685)
Hg (0.081, 0.685, 0.081)
Hg (0.196, 0.500, 0.804)
Hg (0.196, 0.804, 0.500)
Hg (0.315, 0.919, 0.919)
Hg (0.401, 0.401, 0.401)
Hg (0.500, 0.000, 0.500)
Hg (0.500, 0.196, 0.804)
Hg (0.500, 0.500, 0.000)
Hg (0.500, 0.804, 0.196)
Hg (0.599, 0.599, 0.599)
Hg (0.685, 0.081, 0.081)
Hg (0.804, 0.196, 0.500)
Hg (0.804, 0.500, 0.196)
Hg (0.919, 0.315, 0.919)
Hg (0.919, 0.919, 0.315)

Top 10 peaks for 10 to 90 degrees two-theta, by intensity:
2θ = 31.4°, I 1000
2θ = 35.5°, I 838
2θ = 30.1°, I 440
2θ = 33.1°, I 402
2θ = 40.4°, I 390
2θ = 37.9°, I 202
2θ = 32.6°, I 174
2θ = 42.9°, I 170
2θ = 58.6°, I 170
2θ = 66.2°, I 149

No. 3
# Rb2HfBr6F
Calculated X-ray diffraction stick pattern, a wavelength of 1.5418 Å. Input: a crystal structure in Alexandria, relaxed with GGA-PBE.

Atomic structure:
a = 7.949 Å, b = 7.949 Å, c = 7.949 Å
α = 122.72°, β = 122.72°, γ = 85.35°
Atoms (fractional coordinates):
Rb (0.250, 0.750, 0.500)
Rb (0.750, 0.250, 0.500)
Hf (0.000, 0.000, 0.000)
Br (0.225, 0.225, 0.000)
Br (0.243, 0.243, 0.486)
Br (0.243, 0.757, 0.000)
Br (0.757, 0.243, 0.000)
Br (0.757, 0.757, 0.514)
Br (0.775, 0.775, 0.000)
F (0.500, 0.500, 0.000)

Top 10 peaks for 10 to 90 degrees two-theta, by intensity:
2θ = 33.3°, I 1000
2θ = 28.0°, I 922
2θ = 13.9°, I 829
2θ = 45.8°, I 741
2θ = 30.6°, I 583
2θ = 57.8°, I 365
2θ = 47.7°, I 352
2θ = 22.4°, I 333
2θ = 16.5°, I 270
2θ = 27.3°, I 252

No. 4
# Nd8SmY5
Calculated X-ray diffraction stick pattern, a wavelength of 1.5418 Å. Input: a crystal structure in Alexandria, relaxed with GGA-PBE.

Atomic structure:
a = 8.625 Å, b = 8.625 Å, c = 8.625 Å
α = 111.37°, β = 111.37°, γ = 105.73°
Atoms (fractional coordinates):
Nd (0.157, 0.427, 0.088)
Nd (0.339, 0.069, 0.912)
Nd (0.427, 0.167, 0.396)
Nd (0.573, 0.661, 0.730)
Nd (0.770, 0.030, 0.604)
Nd (0.833, 0.230, 0.260)
Nd (0.931, 0.843, 0.270)
Nd (0.970, 0.573, 0.740)
Sm (0.250, 0.750, 0.500)
Y (0.000, 0.000, 0.000)
Y (0.223, 0.316, 0.686)
Y (0.463, 0.777, 0.093)
Y (0.630, 0.537, 0.314)
Y (0.684, 0.370, 0.907)

Top 10 peaks for 10 to 90 degrees two-theta, by intensity:
2θ = 33.0°, I 1000
2θ = 29.0°, I 819
2θ = 27.3°, I 798
2θ = 28.8°, I 751
2θ = 33.9°, I 655
2θ = 34.3°, I 636
2θ = 22.2°, I 299
2θ = 55.0°, I 295
2θ = 31.2°, I 274
2θ = 61.3°, I 220